(1)
Structure and simulated powder X-ray diffraction pattern of Rb2SnSeF6 (a PBE-relaxed structure; Cu Kα (λ = 1.5418 Å)).
Intensities are scaled so that the largest is 100.

Most intense lines, 10° ≤ 2θ ≤ 90°, in order of falling intensity:
2θ (°), I/Imax, index
25.47, 100, 1 1 2
26.56, 44, 2 0 0
46.24, 37, 3 1 2
37.92, 33, 2 2 0
52.33, 21, 2 2 4
34.69, 20, 0 0 4
44.22, 18, 2 0 4
15.74, 14, 1 0 1
56.81, 14, 1 1 6
70.35, 14, 3 1 6
74.37, 11, 5 1 2
72.88, 10, 4 2 4

a b c (Å): 6.711 6.711 10.345
angles (deg): 90.00 90.00 90.00
Space group I4/mmm (No. 139)
Inequivalent atoms, fractional coordinates:
Rb 0.000 0.500 0.250 [4 per cell]
Sn 0.000 0.000 0.000 [2 per cell]
Se 0.000 0.000 0.500 [2 per cell]
F 0.000 0.000 0.194 [4 per cell]
F 0.212 0.212 0.000 [8 per cell]

(2)
Structure and simulated powder X-ray diffraction pattern of La2AgPd (a PBE-relaxed structure; Cu Kα (λ = 1.5418 Å)).
Intensities are scaled so that the largest is 100.

Most intense lines, 10° ≤ 2θ ≤ 90°, in order of falling intensity:
2θ (°), I/Imax, index
29.99, 100, 1 1 -2
30.15, 97, 0 1 2
37.48, 72, 2 1 -2
37.87, 71, 1 1 2
37.14, 68, 0 2 0
31.55, 58, 2 0 0
36.73, 42, 2 1 0
60.12, 42, 1 2 -4
45.47, 37, 1 0 -4
49.51, 33, 2 2 0
62.63, 24, 1 3 -2
32.85, 22, 1 0 2

a b c (Å): 6.036 4.841 7.980
angles (deg): 90.00 110.05 90.00
Space group P2_1/m (No. 11)
Inequivalent atoms, fractional coordinates:
La 0.216 0.250 0.435 [2 per cell]
La 0.236 0.250 0.929 [2 per cell]
Ag 0.330 0.750 0.212 [2 per cell]
Pd 0.339 0.750 0.707 [2 per cell]

(3)
Structure and simulated powder X-ray diffraction pattern of PrSmBr4 (a PBE-relaxed structure; Cu Kα (λ = 1.5418 Å)).
Intensities are scaled so that the largest is 100.

Most intense lines, 10° ≤ 2θ ≤ 90°, in order of falling intensity:
2θ (°), I/Imax, index
31.03, 100, 2 2 0
44.33, 72, 2 2 4
30.86, 51, 0 0 4
25.49, 42, 1 2 1
13.37, 34, 1 0 1
13.19, 23, 0 1 1
25.75, 20, 2 1 1
55.48, 18, 4 0 4
54.70, 18, 0 4 4
43.99, 18, 0 4 0
44.91, 18, 4 0 0
33.91, 16, 2 1 3

a b c (Å): 8.073 8.234 11.590
angles (deg): 90.00 90.00 90.00
Space group Imma (No. 74)
Inequivalent atoms, fractional coordinates:
Pr 0.250 0.250 0.250 [4 per cell]
Sm 0.000 0.000 0.000 [4 per cell]
Br 0.000 0.023 0.746 [8 per cell]
Br 0.237 0.250 0.511 [8 per cell]

(4)
Structure and simulated powder X-ray diffraction pattern of Ac2PuMg2Bi4 (a PBE-relaxed structure; Cu Kα (λ = 1.5418 Å)).
Intensities are scaled so that the largest is 100.

Most intense lines, 10° ≤ 2θ ≤ 90°, in order of falling intensity:
2θ (°), I/Imax, index
29.21, 100, 1 1 -2
30.40, 80, 3 1 1
25.58, 74, 3 1 0
30.59, 67, 3 1 -2
33.01, 57, 5 1 -1
38.83, 53, 0 2 0
57.26, 47, 7 1 2
28.60, 47, 4 0 1
22.07, 41, 2 0 -2
26.37, 34, 4 0 -2
43.69, 31, 7 1 -2
38.81, 26, 1 1 -3

a b c (Å): 16.787 4.638 8.167
angles (deg): 90.00 109.48 90.00
Space group C2/m (No. 12)
Inequivalent atoms, fractional coordinates:
Ac 0.128 0.000 0.074 [4 per cell]
Pu 0.000 0.000 0.500 [2 per cell]
Mg 0.175 0.500 0.495 [4 per cell]
Bi 0.007 0.500 0.230 [4 per cell]
Bi 0.211 0.000 0.731 [4 per cell]

(5)
Structure and simulated powder X-ray diffraction pattern of PmTiO4 (a PBE-relaxed structure; Cu Kα (λ = 1.5418 Å)).
Intensities are scaled so that the largest is 100.

Most intense lines, 10° ≤ 2θ ≤ 90°, in order of falling intensity:
2θ (°), I/Imax, index
30.06, 100, 1 1 1
24.02, 76, 0 2 0
46.17, 64, 2 0 0
15.45, 46, 0 0 1
33.51, 38, 0 1 2
27.49, 23, 1 0 1
25.63, 22, 1 1 0
69.75, 21, 2 4 0
59.24, 20, 1 2 3
40.79, 20, 1 1 2
48.65, 18, 0 3 2
49.19, 17, 0 4 0

a b c (Å): 3.936 7.410 5.735
angles (deg): 90.00 90.00 90.00
Space group Pmmn (No. 59, origin choice 2)
Inequivalent atoms, fractional coordinates:
Pm 0.250 0.250 0.069 [2 per cell]
Ti 0.250 0.750 0.386 [2 per cell]
O 0.250 0.250 0.641 [2 per cell]
O 0.250 0.560 0.176 [4 per cell]
O 0.250 0.750 0.710 [2 per cell]

(6)
Structure and simulated powder X-ray diffraction pattern of Er4PdAu (a PBE-relaxed structure; Cu Kα (λ = 1.5418 Å)).
Intensities are scaled so that the largest is 100.

Most intense lines, 10° ≤ 2θ ≤ 90°, in order of falling intensity:
2θ (°), I/Imax, index
28.60, 100, 2 0 2
37.11, 60, 3 1 2
18.86, 49, 2 0 0
46.36, 49, 3 3 2
38.25, 37, 4 0 0
30.02, 30, 3 1 0
59.22, 21, 4 0 4
43.41, 21, 0 0 4
81.18, 21, 7 3 2
48.45, 21, 4 2 2
57.06, 14, 5 3 0
74.32, 12, 5 3 4

a b c (Å): 9.412 9.412 8.339
angles (deg): 90.00 90.00 90.00
Space group I4_1md (No. 109)
Inequivalent atoms, fractional coordinates:
Er 0.000 0.202 0.000 [8 per cell]
Er 0.000 0.205 0.485 [8 per cell]
Pd 0.000 0.000 0.244 [4 per cell]
Au 0.000 0.000 0.742 [4 per cell]

(7)
Structure and simulated powder X-ray diffraction pattern of NaGaSi (a PBE-relaxed structure; Cu Kα (λ = 1.5418 Å)).
Intensities are scaled so that the largest is 100.

Most intense lines, 10° ≤ 2θ ≤ 90°, in order of falling intensity:
2θ (°), I/Imax, index
31.51, 100, 0 1 2
19.01, 64, 0 1 0
43.85, 54, 2 0 0
38.56, 32, 0 2 0
48.19, 31, 2 1 0
59.79, 28, 1 2 3
55.00, 22, 2 1 2
72.85, 16, 1 1 5
28.88, 14, 1 1 0
21.53, 14, 1 0 0
59.83, 14, 2 2 0
24.90, 11, 0 0 2

a b c (Å): 4.126 4.668 7.158
angles (deg): 90.00 90.00 90.00
Space group Pmmm (No. 47)
Inequivalent atoms, fractional coordinates:
Na 0.000 0.000 0.000 [1 per cell]
Na 0.500 0.000 0.500 [1 per cell]
Ga 0.000 0.500 0.329 [2 per cell]
Si 0.500 0.500 0.161 [2 per cell]

(8)
Structure and simulated powder X-ray diffraction pattern of Na3TeBr7 (a PBE-relaxed structure; Cu Kα (λ = 1.5418 Å)).
Intensities are scaled so that the largest is 100.

Most intense lines, 10° ≤ 2θ ≤ 90°, in order of falling intensity:
2θ (°), I/Imax, index
11.85, 100, 1 1 0
29.44, 96, 2 2 1
24.66, 62, 2 2 -1
31.10, 53, 4 0 -2
14.09, 39, 2 0 0
41.59, 36, 2 2 -3
45.07, 32, 6 2 -1
19.22, 31, 1 1 1
33.49, 31, 1 3 1
38.77, 30, 0 4 0
40.38, 24, 3 1 2
15.56, 21, 1 1 -1

a b c (Å): 13.407 9.286 7.373
angles (deg): 90.00 110.37 90.00
Space group Cm (No. 8)
Inequivalent atoms, fractional coordinates:
Na 0.000 0.000 0.000 [2 per cell]
Na 0.126 0.271 0.539 [4 per cell]
Te 0.131 0.500 0.050 [2 per cell]
Br 0.000 0.500 0.260 [2 per cell]
Br 0.003 0.285 0.806 [4 per cell]
Br 0.054 0.000 0.400 [2 per cell]
Br 0.252 0.295 0.271 [4 per cell]
Br 0.256 0.500 0.808 [2 per cell]